Starting from a GGA-PBE-relaxed structure, the powder diffractogram of Li2B3C3 was computed for λ = 1.5418 Å (Cu Kα).

Crystal structure
```
data_Li2B3C3
_chemical_formula_sum 'Li4 B6 C6'
_space_group_name_H-M_alt 'P -3 1 m'
_space_group_IT_number 162
_space_group_name_Hall '-P 3 2'
_cell_length_a 4.7105
_cell_length_b 4.7105
_cell_length_c 7.3219
_cell_angle_alpha 90.00
_cell_angle_beta 90.00
_cell_angle_gamma 120.00
loop_
_atom_site_label
_atom_site_fract_x
_atom_site_fract_y
_atom_site_fract_z
Li1 0.0000 0.0000 0.0000
Li2 0.0000 0.0000 0.5000
Li3 0.3333 0.6667 0.0000
B1 0.0000 0.3348 0.7555
C1 0.0000 0.3319 0.2397
```

Principal peaks in the range 10 to 90 degrees two-theta, sorted by position:
2θ (°)  I/Imax  hkl
12.09  17  0 0 1
24.31  100  0 0 2
38.21  9  1 1 0
45.81  45  2 -1 2
49.82  16  0 0 4
69.07  15  3 0 0
74.43  9  3 0 2
89.86  15  3 0 4